# KSnPtO
Simulated X-ray diffraction stick pattern, CuKα. Input: a crystal structure in OQMD, relaxed with GGA-PBE.
Kinematic intensities with the Lorentz-polarization factor, no thermal factor.

Largest 12 diffraction maxima, in order of rising 2θ, 10 to 80 degrees two-theta:
| h k l | d_spacing | Position (°2θ) | I/Imax |
| --- | --- | --- | --- |
| 0 2 0 | 6.587 | 13.44 | 100 |
| 0 2 1 | 4.994 | 17.76 | 28 |
| 1 1 1 | 3.418 | 26.07 | 96 |
| 0 2 2 | 3.311 | 26.93 | 44 |
| 0 4 1 | 3.026 | 29.52 | 19 |
| 1 3 1 | 2.756 | 32.49 | 62 |
| 0 4 2 | 2.497 | 35.96 | 46 |
| 1 3 2 | 2.339 | 38.49 | 23 |
| 1 1 3 | 2.123 | 42.59 | 26 |
| 0 6 1 | 2.112 | 42.81 | 32 |
| 1 5 3 | 1.666 | 55.13 | 23 |
| 2 4 2 | 1.559 | 59.27 | 22 |

Structure:
```
data_KSnPtO
_space_group_name_H-M_alt 'C m c 21'
_space_group_IT_number 36
_cell_length_a 3.9914
_cell_length_b 13.1741
_cell_length_c 7.6598
_cell_angle_alpha 90.00
_cell_angle_beta 90.00
_cell_angle_gamma 90.00
loop_
_space_group_symop_operation_xyz
'x,y,z'
'-x,-y,z+1/2'
'-x,y,z'
'x,-y,z+1/2'
'x+1/2,y+1/2,z'
'-x+1/2,-y+1/2,z+1/2'
'-x+1/2,y+1/2,z'
'x+1/2,-y+1/2,z+1/2'
loop_
_atom_site_label
_atom_site_type_symbol
_atom_site_fract_x
_atom_site_fract_y
_atom_site_fract_z
K1 K 0.0000 0.0943 0.0000
Sn1 Sn 0.0000 0.3702 0.8967
Pt1 Pt 0.0000 0.2259 0.6580
O1 O 0.0000 0.3041 0.1510
```